No. 1
This entry pairs a crystal structure of LiPrS2 with its computed powder diffraction line list. Radiation: Cu Kα X-rays. Structure: a DFT-relaxed cell (PBE, Alexandria).
No peak broadening, texture or thermal motion is included.

Structural model:
```
LiPrS2
1.0
6.661 0.000 0.000
-3.331 5.769 0.000
0.000 0.000 7.660
Li Pr S
3 3 6
Cartesian
-1.992 3.451 1.277 Li
1.338 2.318 3.830 Li
3.985 0.000 6.383 Li
-2.096 3.631 5.107 Pr
1.234 2.138 0.000 Pr
4.193 0.000 2.553 Pr
-0.887 2.237 3.053 S
-0.950 5.419 0.499 S
2.381 0.350 4.608 S
1.837 3.882 5.606 S
2.443 3.532 2.054 S
5.168 1.887 7.161 S
```

Main lines, sorted by position (2θ = 10–90°):
d_spacing  I_rel
4.608  1000
3.331  434
3.191  557
2.699  448
2.304  348
2.097  296

No. 2
This entry pairs a crystal structure of LiPrS2 with its computed powder diffraction line list. Radiation: Cu Kα X-rays. Structure: a DFT-relaxed cell (PBE, Alexandria).
No peak broadening, texture or thermal motion is included.

Structural model:
```
LiPrS2
1.0
5.670 0.000 0.000
0.000 5.670 0.000
0.000 0.000 11.543
Li Pr S
4 4 8
Cartesian
0.000 1.417 4.329 Li
0.000 4.252 7.214 Li
2.835 1.417 1.443 Li
2.835 4.252 10.100 Li
0.000 1.417 10.100 Pr
0.000 4.252 1.443 Pr
2.835 1.417 7.214 Pr
2.835 4.252 4.329 Pr
0.000 1.417 1.411 S
0.000 1.417 7.247 S
0.000 4.252 4.297 S
0.000 4.252 10.132 S
2.835 1.417 4.361 S
2.835 1.417 10.068 S
2.835 4.252 1.475 S
2.835 4.252 7.182 S
```

Main lines, sorted by position (2θ = 10–90°):
d_spacing  I_rel
5.089  1000
3.184  297
2.886  297
2.835  567
2.477  323
2.022  412

No. 3
This entry pairs a crystal structure of Li2PrTeS4 with its computed powder diffraction line list. Radiation: Cu Kα X-rays. Structure: a DFT-relaxed cell (PBE, Alexandria).
No peak broadening, texture or thermal motion is included.

Structural model:
```
Li2PrTeS4
1.0
5.676 -5.394 0.000
5.676 5.394 0.000
-5.450 0.000 5.907
Li Pr Te S
4 2 2 8
Cartesian
0.000 0.000 0.000 Li
-2.725 0.000 2.953 Li
2.838 2.697 0.000 Li
0.113 -2.697 2.953 Li
5.676 0.000 0.000 Pr
2.951 0.000 2.953 Pr
0.113 2.697 2.953 Te
2.838 -2.697 0.000 Te
2.725 2.821 2.670 S
0.102 0.009 3.014 S
2.827 -0.009 0.060 S
5.902 2.821 0.284 S
0.000 -2.821 5.623 S
3.075 0.009 5.846 S
5.800 -0.009 2.893 S
3.177 -2.821 3.237 S
```

Main lines, sorted by position (2θ = 10–90°):
d_spacing  I_rel
6.600  1000
6.442  737
3.301  504
2.953  660
2.836  603
2.696  641